The following is a calculated powder diffractogram of KAlSi3O8. It was derived from DFT lattice parameters and positions (GGA-PBE), using a wavelength of 1.5418 Å.

Crystal structure
a = 7.3216 Å, b = 7.7184 Å, c = 8.0281 Å
α = 112.75°, β = 104.36°, γ = 103.47°
Space group P-1 (No. 2)
Inequivalent atoms, fractional coordinates:
K (0.1377, 0.2923, 0.2750) [2 per cell]
Al (0.2176, 0.8242, 0.2001) [2 per cell]
Si (0.2330, 0.1927, 0.8302) [2 per cell]
Si (0.3412, 0.5946, 0.8350) [2 per cell]
Si (0.3527, 0.8237, 0.5942) [2 per cell]
O (0.0178, 0.1452, 0.8546) [2 per cell]
O (0.2217, 0.6767, 0.9721) [2 per cell]
O (0.2427, 0.9791, 0.6897) [2 per cell]
O (0.2541, 0.7185, 0.3585) [2 per cell]
O (0.2714, 0.3471, 0.7368) [2 per cell]
O (0.2859, 0.6348, 0.6453) [2 per cell]
O (0.4034, 0.0684, 0.3125) [2 per cell]
O (0.4110, 0.3002, 0.0497) [2 per cell]

The 10 most intense peaks (2θ from 10° to 90°), most intense first:
- hkl 2 0 0, 2θ = 27.00°, I 100
- hkl -1 1 1, 2θ = 20.71°, I 49
- hkl -2 1 1, 2θ = 26.71°, I 43
- hkl 0 0 2, 2θ = 25.99°, I 42
- hkl 1 2 -1, 2θ = 29.76°, I 31
- hkl 0 2 -1, 2θ = 23.71°, I 30
- hkl 0 1 -2, 2θ = 22.90°, I 28
- hkl 2 0 -1, 2θ = 25.17°, I 24
- hkl 0 2 -2, 2θ = 27.23°, I 24
- hkl -4 1 1, 2θ = 49.84°, I 24